Diffraction record for LaNdSe3. The XRD peak list is computed, not measured: it uses DFT lattice parameters and positions (PBE) and Cu Kα, 1.54184 Å.
Peak positions follow from Bragg's law for the DFT cell and can differ from measured ones.

The 10 most intense peaks (15° ≤ 2θ ≤ 90°), sorted by position:
| (hkl) | 2theta | I/Imax |
| --- | --- | --- |
| 0 1 2 | 22.72 | 38 |
| 0 2 0 | 24.60 | 19 |
| 1 1 1 | 26.12 | 27 |
| 1 0 2 | 28.43 | 21 |
| 0 1 3 | 31.36 | 22 |
| 1 2 1 | 33.92 | 100 |
| 1 0 3 | 35.83 | 24 |
| 1 1 3 | 37.99 | 30 |
| 2 0 0 | 42.50 | 27 |
| 1 2 3 | 43.95 | 23 |

Cell and atoms:
```
LaNdSe3
1.0
4.254 0.000 0.000
0.000 7.238 0.000
0.000 0.000 9.303
La Nd Se
2 2 6
Cartesian
1.064 1.809 1.379
3.191 5.428 7.924
1.064 5.428 3.714
3.191 1.809 5.589
1.064 3.775 6.238
1.064 5.428 0.631
1.064 7.082 6.238
3.191 0.156 3.065
3.191 1.809 8.672
3.191 3.463 3.065
```